Record 1
TbPm4Ni4: theoretical powder XRD pattern (Cu Kα X-rays), based on DFT lattice parameters and positions (GGA-PBE).

```
data_TbPm4Ni4
_chemical_formula_sum 'Tb2 Pm8 Ni8'
_cell_length_a 8.539
_cell_length_b 8.539
_cell_length_c 5.886
_cell_angle_alpha 90.00
_cell_angle_beta 90.00
_cell_angle_gamma 90.00
_space_group_name_H-M_alt 'P 1'
_space_group_IT_number 1
_space_group_name_Hall 'P 1'
loop_
_atom_site_label
_atom_site_type_symbol
_atom_site_fract_x
_atom_site_fract_y
_atom_site_fract_z
Tb1 Tb 0.250 0.250 0.250
Tb2 Tb 0.750 0.750 0.750
Pm1 Pm 0.057 0.666 0.150
Pm2 Pm 0.166 0.943 0.650
Pm3 Pm 0.334 0.557 0.650
Pm4 Pm 0.443 0.834 0.150
Pm5 Pm 0.557 0.166 0.850
Pm6 Pm 0.666 0.443 0.350
Pm7 Pm 0.834 0.057 0.350
Pm8 Pm 0.943 0.334 0.850
Ni1 Ni 0.022 0.619 0.629
Ni2 Ni 0.119 0.978 0.129
Ni3 Ni 0.381 0.522 0.129
Ni4 Ni 0.478 0.881 0.629
Ni5 Ni 0.522 0.119 0.371
Ni6 Ni 0.619 0.478 0.871
Ni7 Ni 0.881 0.022 0.871
Ni8 Ni 0.978 0.381 0.371
```

Largest 10 diffraction maxima, low angle first, 10 to 80 degrees two-theta:
2theta, Rel. int.
27.8, 766
32.2, 482
33.2, 1000
38.6, 306
44.3, 162
45.6, 120
47.6, 340
49.4, 277
54.2, 173
56.1, 244

=====

Record 2
TbPm3Ni: theoretical powder XRD pattern (Cu Kα X-rays), based on DFT lattice parameters and positions (GGA-PBE).

```
data_TbPm3Ni
_chemical_formula_sum 'Tb2 Pm6 Ni2'
_cell_length_a 6.406
_cell_length_b 6.406
_cell_length_c 14.100
_cell_angle_alpha 114.57
_cell_angle_beta 114.57
_cell_angle_gamma 33.64
_space_group_name_H-M_alt 'P 1'
_space_group_IT_number 1
_space_group_name_Hall 'P 1'
loop_
_atom_site_label
_atom_site_type_symbol
_atom_site_fract_x
_atom_site_fract_y
_atom_site_fract_z
Tb1 Tb 0.000 0.000 0.000
Tb2 Tb 0.107 0.107 0.272
Pm1 Pm 0.123 0.123 0.638
Pm2 Pm 0.234 0.234 0.917
Pm3 Pm 0.446 0.446 0.395
Pm4 Pm 0.453 0.453 0.760
Pm5 Pm 0.777 0.777 0.155
Pm6 Pm 0.785 0.785 0.515
Ni1 Ni 0.455 0.455 0.128
Ni2 Ni 0.784 0.784 0.788
```

Largest 10 diffraction maxima, low angle first, 10 to 80 degrees two-theta:
2theta, Rel. int.
30.0, 370
30.7, 1000
31.7, 941
32.8, 484
34.3, 705
35.4, 226
49.2, 236
57.9, 243
58.4, 245
59.7, 310

=====

Record 3
Pm8TcNi2: theoretical powder XRD pattern (Cu Kα X-rays), based on DFT lattice parameters and positions (GGA-PBE).

```
data_Pm8TcNi2
_chemical_formula_sum 'Pm8 Tc1 Ni2'
_cell_length_a 9.247
_cell_length_b 9.247
_cell_length_c 6.788
_cell_angle_alpha 106.13
_cell_angle_beta 106.13
_cell_angle_gamma 32.20
_space_group_name_H-M_alt 'P 1'
_space_group_IT_number 1
_space_group_name_Hall 'P 1'
loop_
_atom_site_label
_atom_site_type_symbol
_atom_site_fract_x
_atom_site_fract_y
_atom_site_fract_z
Pm1 Pm 0.034 0.034 0.295
Pm2 Pm 0.198 0.198 0.830
Pm3 Pm 0.327 0.327 0.522
Pm4 Pm 0.409 0.409 0.049
Pm5 Pm 0.591 0.591 0.951
Pm6 Pm 0.673 0.673 0.478
Pm7 Pm 0.802 0.802 0.170
Pm8 Pm 0.966 0.966 0.705
Tc1 Tc 0.500 0.500 0.500
Ni1 Ni 0.184 0.184 0.219
Ni2 Ni 0.816 0.816 0.781
```

Largest 10 diffraction maxima, low angle first, 10 to 80 degrees two-theta:
2theta, Rel. int.
29.4, 744
31.2, 1000
31.6, 401
31.7, 757
32.6, 199
34.3, 447
35.0, 816
36.7, 252
38.1, 182
68.3, 251

=====

Record 4
Pm12Ni6Te: theoretical powder XRD pattern (Cu Kα X-rays), based on DFT lattice parameters and positions (GGA-PBE).

```
data_Pm12Ni6Te
_chemical_formula_sum 'Pm12 Ni6 Te1'
_cell_length_a 8.691
_cell_length_b 8.691
_cell_length_c 8.691
_cell_angle_alpha 109.47
_cell_angle_beta 109.47
_cell_angle_gamma 109.47
_space_group_name_H-M_alt 'P 1'
_space_group_IT_number 1
_space_group_name_Hall 'P 1'
loop_
_atom_site_label
_atom_site_type_symbol
_atom_site_fract_x
_atom_site_fract_y
_atom_site_fract_z
Pm1 Pm 0.122 0.812 0.310
Pm2 Pm 0.188 0.310 0.497
Pm3 Pm 0.188 0.690 0.878
Pm4 Pm 0.310 0.122 0.812
Pm5 Pm 0.310 0.497 0.188
Pm6 Pm 0.497 0.188 0.310
Pm7 Pm 0.503 0.812 0.690
Pm8 Pm 0.690 0.503 0.812
Pm9 Pm 0.690 0.878 0.188
Pm10 Pm 0.812 0.310 0.122
Pm11 Pm 0.812 0.690 0.503
Pm12 Pm 0.878 0.188 0.690
Ni1 Ni 0.122 0.622 0.500
Ni2 Ni 0.378 0.500 0.878
Ni3 Ni 0.500 0.122 0.622
Ni4 Ni 0.500 0.878 0.378
Ni5 Ni 0.622 0.500 0.122
Ni6 Ni 0.878 0.378 0.500
Te1 Te 0.000 0.000 0.000
```

Largest 10 diffraction maxima, low angle first, 10 to 80 degrees two-theta:
2theta, Rel. int.
28.1, 449
30.9, 360
33.4, 1000
35.8, 129
46.1, 240
53.2, 327
54.9, 148
56.5, 342
65.8, 166
80.0, 123

=====

Record 5
PmNi2Te: theoretical powder XRD pattern (Cu Kα X-rays), based on DFT lattice parameters and positions (GGA-PBE).

```
data_PmNi2Te
_chemical_formula_sum 'Pm1 Ni2 Te1'
_cell_length_a 4.380
_cell_length_b 4.380
_cell_length_c 3.921
_cell_angle_alpha 90.00
_cell_angle_beta 90.00
_cell_angle_gamma 90.00
_space_group_name_H-M_alt 'P 1'
_space_group_IT_number 1
_space_group_name_Hall 'P 1'
loop_
_atom_site_label
_atom_site_type_symbol
_atom_site_fract_x
_atom_site_fract_y
_atom_site_fract_z
Pm1 Pm 0.000 0.000 0.000
Ni1 Ni 0.000 0.500 0.500
Ni2 Ni 0.500 0.000 0.500
Te1 Te 0.500 0.500 0.000
```

Largest 10 diffraction maxima, low angle first, 10 to 80 degrees two-theta:
2theta, Rel. int.
22.7, 106
28.8, 117
37.0, 1000
41.2, 368
46.3, 133
59.7, 120
63.7, 196
72.4, 271
78.7, 105
79.6, 102